Structure and theoretical powder diffraction line list of UTiTl2O6 (a crystal structure in Alexandria, relaxed with GGA-PBE; Cu Kα, 1.54184 Å).

Atomic structure:
Cell: 5.9106 8.2617 5.9158 Å, 90.00 90.00 90.00°
Space group Pmmn (No. 59, origin choice 2)
Unique sites:
U  0.2500  0.2500  0.2481
Ti  0.2500  0.7500  0.2707
Tl  0.2500  0.0003  0.7574
O  0.0003  0.2500  0.0061
O  0.0104  0.7500  0.4852
O  0.2500  0.5076  0.2458

Top 10 peaks for 15° ≤ 2θ ≤ 90°, in order of rising 2θ:
(hkl)  2theta  I (rel.)
1 1 0  18.45  24
2 0 0  30.23  51
1 2 1  30.42  100
2 0 2  43.28  28
0 4 0  43.83  13
3 2 1  53.81  42
2 4 0  54.17  21
2 4 2  63.29  17
4 4 2  87.62  11
3 6 1  88.10  11